1.
Diffraction record for ErSeN. The X-ray powder pattern is calculated, not measured: it uses a PBE-relaxed structure and Cu Ka.

Cell and atoms:
Unit cell a=8.429 b=3.981 c=8.132 alpha=90.00 beta=103.77 gamma=90.00
Space group P2_1/c (No. 14)
Symmetry-distinct sites (fractional):
Er 0.169 0.245 0.417
Se 0.182 0.749 0.670
N 0.439 0.072 0.485

Main lines, most intense first (2θ from 5° to 70°):
index	d/Å	Rel. int.
0 1 2	2.803	100
1 0 0	8.187	69
3 1 -2	2.148	50
3 0 0	2.729	32
2 0 0	4.093	25
1 0 -4	2.033	15
3 2 0	1.608	12
3 1 2	1.809	12
0 2 0	1.991	12
4 1 -2	1.805	12



2.
Diffraction record for Pm4FeAu2. The X-ray powder pattern is calculated, not measured: it uses a PBE-relaxed structure and Cu Ka.

Cell and atoms:
Unit cell a=5.044 b=5.044 c=15.291 alpha=90.00 beta=90.00 gamma=90.00
Space group I4/mmm (No. 139)
Symmetry-distinct sites (fractional):
Pm 0.000 0.000 0.181
Pm 0.000 0.500 0.000
Fe 0.000 0.000 0.000
Au 0.000 0.000 0.373

Main lines, most intense first (2θ from 5° to 70°):
index	d/Å	Rel. int.
1 1 4	2.611	100
2 0 0	2.522	64
1 1 2	3.232	43
1 1 0	3.567	30
3 1 4	1.472	28
2 1 5	1.815	28
2 2 0	1.783	23
2 0 6	1.793	17
0 0 6	2.549	12
3 1 2	1.561	10



3.
Diffraction record for Rb3TcO6. The X-ray powder pattern is calculated, not measured: it uses a PBE-relaxed structure and Cu Ka.

Cell and atoms:
Unit cell a=9.310 b=9.310 c=9.310 alpha=90.00 beta=90.00 gamma=90.00
Space group Fm-3m (No. 225)
Symmetry-distinct sites (fractional):
Rb 0.000 0.000 0.000
Rb 0.250 0.250 0.250
Tc 0.000 0.000 0.500
O 0.000 0.000 0.298

Main lines, most intense first (2θ from 5° to 70°):
index	d/Å	Rel. int.
2 2 0	3.292	100
4 2 2	1.900	37
4 0 0	2.328	32
6 2 0	1.472	21
4 4 0	1.646	19
1 1 1	5.375	4
2 0 0	4.655	3
2 2 2	2.688	2
5 1 1	1.792	1



4.
Diffraction record for MgCdSN2. The X-ray powder pattern is calculated, not measured: it uses a PBE-relaxed structure and Cu Ka.

Cell and atoms:
Unit cell a=4.085 b=4.085 c=5.264 alpha=90.00 beta=90.00 gamma=90.00
Space group P4/mmm (No. 123)
Symmetry-distinct sites (fractional):
Mg 0.000 0.000 0.000
Cd 0.500 0.500 0.500
S 0.000 0.000 0.500
N 0.000 0.500 0.000

Main lines, most intense first (2θ from 5° to 70°):
index	d/Å	Rel. int.
1 1 1	2.532	100
1 0 1	3.227	99
1 1 0	2.888	69
0 0 1	5.264	61
2 0 2	1.613	53
0 0 2	2.632	51
2 0 0	2.042	46
1 1 2	1.946	44
2 1 1	1.726	32
1 1 3	1.500	22



5.
Diffraction record for Sm4Cd5Ga2. The X-ray powder pattern is calculated, not measured: it uses a PBE-relaxed structure and Cu Ka.

Cell and atoms:
Unit cell a=7.709 b=3.845 c=9.607 alpha=90.00 beta=93.57 gamma=90.00
Space group P2/m (No. 10)
Symmetry-distinct sites (fractional):
Sm 0.175 0.000 0.363
Sm 0.252 0.000 0.935
Cd 0.178 0.500 0.649
Cd 0.442 0.500 0.188
Cd 0.500 0.500 0.500
Ga 0.059 0.500 0.129

Main lines, most intense first (2θ from 5° to 70°):
index	d/Å	Rel. int.
1 1 -2	2.832	100
1 1 2	2.758	82
2 1 0	2.719	72
2 1 1	2.587	53
0 2 0	1.922	45
2 0 3	2.386	42
3 0 -1	2.517	41
2 1 -2	2.411	36
1 0 -4	2.330	35
0 1 3	2.458	34



6.
Diffraction record for Na4ErTm3Te8. The X-ray powder pattern is calculated, not measured: it uses a PBE-relaxed structure and Cu Ka.

Cell and atoms:
Unit cell a=8.7760 b=8.7760 c=22.6874 alpha=90.00 beta=90.00 gamma=120.00
Space group R-3m (No. 166, hexagonal axes)
Symmetry-distinct sites (fractional):
Na 0.0000 0.0000 0.0000
Na 0.0000 0.5000 0.0000
Er 0.0000 0.0000 0.5000
Tm 0.0000 0.5000 0.5000
Te 0.0000 0.0000 0.2430
Te 0.0008 0.5004 0.7569

Main lines, most intense first (2θ from 5° to 70°):
index	d/Å	Rel. int.
0 2 4	3.157	100
0 0 3	7.562	40
2 0 8	2.273	38
2 2 0	2.194	37
4 0 4	1.802	20
2 2 12	1.432	18
2 4 4	1.392	17
0 2 1	3.748	14
0 2 7	2.466	13
0 4 8	1.579	12